(1)
Starting from a GGA-PBE-relaxed structure, the PXRD pattern of PmTmInPb was computed for CuKα.
No peak broadening, texture or thermal motion is included.

Cell and atoms:
a b c (Å): 5.697 5.697 5.697
angles (deg): 128.09 128.09 76.48
Element x y z (fractional)
1 Pm 0.000 0.000 0.000
2 Tm 0.500 0.500 0.000
3 In 0.250 0.750 0.500
4 Pb 0.750 0.250 0.500

Most intense lines, 2θ = 15–90°, by angle:
20.39°, d 4.356, I = 6
32.32°, d 2.770, I = 100
36.02°, d 2.493, I = 37
40.31°, d 2.237, I = 14
51.86°, d 1.763, I = 13
55.16°, d 1.665, I = 22
62.44°, d 1.487, I = 30
67.66°, d 1.385, I = 12
68.28°, d 1.374, I = 12
76.39°, d 1.247, I = 4
85.39°, d 1.137, I = 7
87.47°, d 1.115, I = 6

(2)
Starting from a GGA-PBE-relaxed structure, the PXRD pattern of Pr4InPb was computed for CuKα.
No peak broadening, texture or thermal motion is included.

Cell and atoms:
a b c (Å): 9.167 9.167 9.167
angles (deg): 34.62 34.62 34.62
Element x y z (fractional)
1 Pr 0.125 0.125 0.125
2 Pr 0.370 0.370 0.370
3 Pr 0.630 0.630 0.630
4 Pr 0.875 0.875 0.875
5 In 0.000 0.000 0.000
6 Pb 0.500 0.500 0.500

Most intense lines, 2θ = 15–90°, by angle:
20.01°, d 4.437, I = 40
20.63°, d 4.304, I = 18
23.33°, d 3.813, I = 18
32.83°, d 2.728, I = 100
33.62°, d 2.666, I = 92
39.09°, d 2.304, I = 21
47.70°, d 1.906, I = 35
58.61°, d 1.575, I = 19
59.12°, d 1.563, I = 36
60.62°, d 1.527, I = 16
78.83°, d 1.214, I = 16
80.15°, d 1.197, I = 15

(3)
Starting from a GGA-PBE-relaxed structure, the PXRD pattern of Pr3In2Pb4 was computed for CuKα.
No peak broadening, texture or thermal motion is included.

Cell and atoms:
a b c (Å): 8.343 8.343 4.639
angles (deg): 90.00 90.00 120.00
Element x y z (fractional)
1 Pr 0.000 0.608 0.000
2 Pr 0.392 0.392 0.000
3 Pr 0.608 0.000 0.000
4 In 0.333 0.667 0.500
5 In 0.667 0.333 0.500
6 Pb 0.000 0.000 0.000
7 Pb 0.000 0.277 0.500
8 Pb 0.277 0.000 0.500
9 Pb 0.723 0.723 0.500

Most intense lines, 2θ = 15–90°, by angle:
28.78°, d 3.102, I = 100
31.38°, d 2.850, I = 64
32.79°, d 2.731, I = 28
37.34°, d 2.409, I = 50
38.24°, d 2.353, I = 31
38.83°, d 2.319, I = 27
51.71°, d 1.768, I = 16
54.96°, d 1.671, I = 33
59.19°, d 1.561, I = 33
64.24°, d 1.450, I = 11
76.17°, d 1.250, I = 11
85.97°, d 1.131, I = 12

(4)
Starting from a GGA-PBE-relaxed structure, the PXRD pattern of Pr2In3Pb3 was computed for CuKα.
No peak broadening, texture or thermal motion is included.

Cell and atoms:
a b c (Å): 4.795 4.968 9.534
angles (deg): 90.00 90.00 90.00
Element x y z (fractional)
1 Pr 0.000 0.000 0.248
2 Pr 0.000 0.000 0.752
3 In 0.000 0.500 0.000
4 In 0.500 0.500 0.242
5 In 0.500 0.500 0.758
6 Pb 0.000 0.500 0.500
7 Pb 0.500 0.000 0.000
8 Pb 0.500 0.000 0.500

Most intense lines, 2θ = 15–90°, by angle:
32.02°, d 2.795, I = 100
36.16°, d 2.484, I = 18
37.52°, d 2.397, I = 16
37.74°, d 2.384, I = 16
53.09°, d 1.725, I = 12
53.26°, d 1.720, I = 12
54.27°, d 1.690, I = 11
62.44°, d 1.487, I = 15
64.27°, d 1.449, I = 14
64.57°, d 1.443, I = 13
66.96°, d 1.397, I = 12
87.19°, d 1.118, I = 6

(5)
Starting from a GGA-PBE-relaxed structure, the PXRD pattern of TbPrInPb was computed for CuKα.
No peak broadening, texture or thermal motion is included.

Cell and atoms:
a b c (Å): 5.758 5.758 5.758
angles (deg): 127.83 127.83 76.91
Element x y z (fractional)
1 Tb 0.000 0.000 0.000
2 Pr 0.500 0.500 0.000
3 In 0.750 0.250 0.500
4 Pb 0.250 0.750 0.500

Most intense lines, 2θ = 15–90°, by angle:
20.11°, d 4.416, I = 6
31.91°, d 2.804, I = 100
35.45°, d 2.532, I = 38
39.99°, d 2.255, I = 14
51.01°, d 1.790, I = 13
54.50°, d 1.684, I = 22
61.44°, d 1.509, I = 31
66.71°, d 1.402, I = 12
67.59°, d 1.386, I = 12
83.84°, d 1.154, I = 7
85.81°, d 1.132, I = 6
89.41°, d 1.096, I = 12

(6)
Starting from a GGA-PBE-relaxed structure, the PXRD pattern of InPt2Pb2 was computed for CuKα.
No peak broadening, texture or thermal motion is included.

Cell and atoms:
a b c (Å): 5.720 4.318 9.819
angles (deg): 90.00 93.55 90.00
Element x y z (fractional)
1 In 0.112 0.250 0.297
2 In 0.888 0.750 0.703
3 Pt 0.168 0.750 0.484
4 Pt 0.246 0.750 0.149
5 Pt 0.754 0.250 0.851
6 Pt 0.832 0.250 0.516
7 Pb 0.250 0.250 0.960
8 Pb 0.385 0.250 0.630
9 Pb 0.615 0.750 0.370
10 Pb 0.750 0.750 0.040

Most intense lines, 2θ = 15–90°, by angle:
22.50°, d 3.951, I = 58
27.78°, d 3.212, I = 54
31.34°, d 2.854, I = 39
33.23°, d 2.696, I = 45
34.42°, d 2.605, I = 64
35.40°, d 2.536, I = 39
37.22°, d 2.416, I = 100
38.69°, d 2.327, I = 98
39.40°, d 2.287, I = 48
41.29°, d 2.187, I = 49
41.84°, d 2.159, I = 73
81.55°, d 1.180, I = 32

(7)
Starting from a GGA-PBE-relaxed structure, the PXRD pattern of In3Pt12Pb was computed for CuKα.
No peak broadening, texture or thermal motion is included.

Cell and atoms:
a b c (Å): 4.068 4.068 16.288
angles (deg): 90.00 90.00 90.00
Element x y z (fractional)
1 In 0.000 0.000 0.000
2 In 0.000 0.000 0.246
3 In 0.000 0.000 0.754
4 Pt 0.000 0.500 0.123
5 Pt 0.000 0.500 0.370
6 Pt 0.000 0.500 0.630
7 Pt 0.000 0.500 0.877
8 Pt 0.500 0.000 0.123
9 Pt 0.500 0.000 0.370
10 Pt 0.500 0.000 0.630
11 Pt 0.500 0.000 0.877
12 Pt 0.500 0.500 0.000
13 Pt 0.500 0.500 0.247
14 Pt 0.500 0.500 0.500
15 Pt 0.500 0.500 0.753
16 Pb 0.000 0.000 0.500

Most intense lines, 2θ = 15–90°, by angle:
21.84°, d 4.069, I = 2
31.08°, d 2.878, I = 1
35.31°, d 2.542, I = 1
38.31°, d 2.349, I = 100
44.53°, d 2.035, I = 49
50.12°, d 1.820, I = 1
55.30°, d 1.661, I = 1
60.44°, d 1.532, I = 1
64.80°, d 1.439, I = 32
77.85°, d 1.227, I = 38
82.03°, d 1.175, I = 11

(8)
Starting from a GGA-PBE-relaxed structure, the PXRD pattern of RbIn3Pb9 was computed for CuKα.
No peak broadening, texture or thermal motion is included.

Cell and atoms:
a b c (Å): 8.822 8.822 8.695
angles (deg): 97.15 97.15 137.83
Element x y z (fractional)
1 Rb 0.000 0.000 0.000
2 In 0.000 0.500 0.000
3 In 0.500 0.000 0.000
4 In 0.500 0.500 0.500
5 Pb 0.000 0.000 0.500
6 Pb 0.001 0.359 0.356
7 Pb 0.284 0.505 0.784
8 Pb 0.359 0.001 0.356
9 Pb 0.495 0.716 0.216
10 Pb 0.505 0.284 0.784
11 Pb 0.641 0.999 0.644
12 Pb 0.716 0.495 0.216
13 Pb 0.999 0.641 0.644

Most intense lines, 2θ = 15–90°, by angle:
27.20°, d 3.279, I = 36
28.13°, d 3.173, I = 39
30.86°, d 2.897, I = 86
31.04°, d 2.881, I = 100
31.14°, d 2.872, I = 35
31.55°, d 2.835, I = 32
31.97°, d 2.800, I = 42
32.36°, d 2.766, I = 38
34.49°, d 2.601, I = 34
34.73°, d 2.583, I = 90
35.21°, d 2.549, I = 31
35.73°, d 2.513, I = 60

(9)
Starting from a GGA-PBE-relaxed structure, the PXRD pattern of RbInPb was computed for CuKα.
No peak broadening, texture or thermal motion is included.

Cell and atoms:
a b c (Å): 11.299 9.258 8.375
angles (deg): 79.53 53.68 46.79
Element x y z (fractional)
1 Rb 0.018 0.018 0.232
2 Rb 0.232 0.232 0.018
3 Rb 0.768 0.768 0.982
4 Rb 0.982 0.982 0.768
5 In 0.212 0.212 0.538
6 In 0.462 0.462 0.788
7 In 0.538 0.538 0.212
8 In 0.788 0.788 0.462
9 Pb 0.265 0.485 0.265
10 Pb 0.485 0.265 0.485
11 Pb 0.515 0.735 0.515
12 Pb 0.735 0.515 0.735

Most intense lines, 2θ = 15–90°, by angle:
25.97°, d 3.431, I = 33
26.59°, d 3.352, I = 100
29.55°, d 3.022, I = 71
31.92°, d 2.804, I = 78
32.63°, d 2.745, I = 26
35.49°, d 2.529, I = 53
36.00°, d 2.495, I = 38
39.62°, d 2.275, I = 21
39.98°, d 2.255, I = 27
45.48°, d 1.994, I = 22
48.82°, d 1.865, I = 27
59.27°, d 1.559, I = 45

(10)
Starting from a GGA-PBE-relaxed structure, the PXRD pattern of RbIn2Pb10 was computed for CuKα.
No peak broadening, texture or thermal motion is included.

Cell and atoms:
a b c (Å): 11.555 8.873 8.707
angles (deg): 82.17 49.53 48.29
Element x y z (fractional)
1 Rb 0.000 0.000 0.000
2 In 0.000 0.500 0.000
3 In 0.500 0.000 0.500
4 Pb 0.000 0.000 0.500
5 Pb 0.002 0.356 0.644
6 Pb 0.279 0.496 0.504
7 Pb 0.356 0.002 0.998
8 Pb 0.496 0.279 0.721
9 Pb 0.500 0.500 0.000
10 Pb 0.504 0.721 0.279
11 Pb 0.644 0.998 0.002
12 Pb 0.721 0.504 0.496
13 Pb 0.998 0.644 0.356

Most intense lines, 2θ = 15–90°, by angle:
26.93°, d 3.311, I = 32
27.50°, d 3.244, I = 19
30.92°, d 2.892, I = 100
31.39°, d 2.850, I = 43
31.64°, d 2.828, I = 53
34.42°, d 2.606, I = 22
34.73°, d 2.583, I = 29
35.04°, d 2.561, I = 52
35.18°, d 2.551, I = 40
35.49°, d 2.529, I = 40
55.50°, d 1.656, I = 25
55.67°, d 1.651, I = 16

(11)
Starting from a GGA-PBE-relaxed structure, the PXRD pattern of RbIn2Pb4 was computed for CuKα.
No peak broadening, texture or thermal motion is included.

Cell and atoms:
a b c (Å): 6.749 6.749 6.285
angles (deg): 115.06 115.06 79.61
Element x y z (fractional)
1 Rb 0.000 0.000 0.000
2 In 0.489 0.489 0.239
3 In 0.511 0.511 0.761
4 Pb 0.000 0.384 0.688
5 Pb 0.000 0.616 0.312
6 Pb 0.384 0.000 0.688
7 Pb 0.616 0.000 0.312

Most intense lines, 2θ = 15–90°, by angle:
20.54°, d 4.323, I = 31
28.46°, d 3.136, I = 39
29.21°, d 3.057, I = 98
31.45°, d 2.844, I = 26
32.73°, d 2.736, I = 60
33.33°, d 2.688, I = 44
34.24°, d 2.619, I = 100
35.09°, d 2.557, I = 29
35.37°, d 2.538, I = 57
36.48°, d 2.463, I = 28
52.38°, d 1.747, I = 42
62.65°, d 1.483, I = 33

(12)
Starting from a GGA-PBE-relaxed structure, the PXRD pattern of Rb3In2Pb9 was computed for CuKα.
No peak broadening, texture or thermal motion is included.

Cell and atoms:
a b c (Å): 9.992 9.992 9.992
angles (deg): 148.50 103.38 85.17
Element x y z (fractional)
1 Rb 0.000 0.000 0.000
2 Rb 0.287 0.287 0.000
3 Rb 0.713 0.713 0.000
4 In 0.339 0.500 0.839
5 In 0.661 0.500 0.161
6 Pb 0.005 0.365 0.640
7 Pb 0.136 0.851 0.285
8 Pb 0.275 0.635 0.640
9 Pb 0.434 0.149 0.285
10 Pb 0.500 0.000 0.500
11 Pb 0.566 0.851 0.715
12 Pb 0.725 0.365 0.360
13 Pb 0.864 0.149 0.715
14 Pb 0.995 0.635 0.360

Most intense lines, 2θ = 15–90°, by angle:
17.85°, d 4.969, I = 31
27.14°, d 3.286, I = 50
28.22°, d 3.162, I = 52
28.45°, d 3.137, I = 95
29.78°, d 3.000, I = 41
30.23°, d 2.956, I = 41
33.03°, d 2.712, I = 77
33.88°, d 2.646, I = 77
36.67°, d 2.451, I = 100
43.98°, d 2.059, I = 32
55.48°, d 1.656, I = 51
65.83°, d 1.419, I = 21